[1]
Theoretical X-ray diffraction stick pattern of La5Rh for λ = 1.5418 Å (Cu Kα), from a structure optimized by DFT (PBE).
Neutral-atom scattering factors, no anomalous dispersion.

Atomic structure:
```
data_La5Rh
_space_group_name_H-M_alt 'P 4/m m m'
_space_group_IT_number 123
_space_group_name_Hall '-P 4 2'
_cell_length_a 3.6793
_cell_length_b 3.6793
_cell_length_c 14.3945
_cell_angle_alpha 90.00
_cell_angle_beta 90.00
_cell_angle_gamma 90.00
loop_
_atom_site_label
_atom_site_type_symbol
_atom_site_fract_x
_atom_site_fract_y
_atom_site_fract_z
La1 La 0.0000 0.0000 0.0000
La2 La 0.0000 0.0000 0.3842
La3 La 0.5000 0.5000 0.1807
Rh1 Rh 0.5000 0.5000 0.5000
```

Principal peaks in the range 10° ≤ 2θ ≤ 90°, sorted by position:
2θ/deg  I_rel
27.2  17
30.6  100
31.1  13
34.5  52
47.1  17
49.6  18
51.8  8
57.0  11
59.4  30
59.6  8
78.8  9
83.0  8

=====

[2]
Theoretical X-ray diffraction stick pattern of La5Rh4 for λ = 1.5418 Å (Cu Kα), from a structure optimized by DFT (PBE).
Neutral-atom scattering factors, no anomalous dispersion.

Atomic structure:
```
data_La5Rh4
_space_group_name_H-M_alt 'P 63/m c m'
_space_group_IT_number 193
_space_group_name_Hall '-P 6c 2'
_cell_length_a 8.5373
_cell_length_b 8.5373
_cell_length_c 7.2856
_cell_angle_alpha 90.00
_cell_angle_beta 90.00
_cell_angle_gamma 120.00
loop_
_atom_site_label
_atom_site_type_symbol
_atom_site_fract_x
_atom_site_fract_y
_atom_site_fract_z
La1 La 0.0000 0.2585 0.2500
La2 La 0.3333 0.6667 0.0000
Rh1 Rh 0.0000 0.0000 0.0000
Rh2 Rh 0.0000 0.4024 0.7500
```

Principal peaks in the range 10° ≤ 2θ ≤ 90°, sorted by position:
2θ/deg  I_rel
24.4  9
32.3  100
34.4  60
36.5  42
46.0  11
49.5  19
49.7  21
50.1  13
57.1  7
63.0  8
63.5  16
82.6  8